# 1
Diffraction record for GeBi3Pd12. The powder X-ray diffraction pattern is theoretical, not measured: it uses a DFT-relaxed cell (GGA-PBE, Alexandria) and Cu Kα (weighted mean of Kα1 and Kα2).

Atomic structure:
Unit cell a=4.1102 b=4.1102 c=16.1897 alpha=90.00 beta=90.00 gamma=90.00
Fractional positions:
1 Ge 0.0000 0.0000 0.0000
2 Bi 0.0000 0.0000 0.2423
3 Bi 0.0000 0.0000 0.5000
4 Bi 0.0000 0.0000 0.7577
5 Pd 0.0000 0.5000 0.1121
6 Pd 0.0000 0.5000 0.3716
7 Pd 0.0000 0.5000 0.6284
8 Pd 0.0000 0.5000 0.8879
9 Pd 0.5000 0.0000 0.1121
10 Pd 0.5000 0.0000 0.3716
11 Pd 0.5000 0.0000 0.6284
12 Pd 0.5000 0.0000 0.8879
13 Pd 0.5000 0.5000 0.0000
14 Pd 0.5000 0.5000 0.2424
15 Pd 0.5000 0.5000 0.5000
16 Pd 0.5000 0.5000 0.7576

Most intense lines, 5° ≤ 2θ ≤ 70°, low angle first:
2θ = 35.1°, intensity 3; 2θ = 38.1°, intensity 100; 2θ = 44.1°, intensity 34; 2θ = 44.8°, intensity 14; 2θ = 64.1°, intensity 11; 2θ = 64.6°, intensity 19

# 2
Diffraction record for GeBi2Pd3. The powder X-ray diffraction pattern is theoretical, not measured: it uses a DFT-relaxed cell (GGA-PBE, Alexandria) and Cu Kα (weighted mean of Kα1 and Kα2).

Atomic structure:
Unit cell a=6.9970 b=6.9970 c=5.9240 alpha=90.00 beta=90.00 gamma=59.21
Fractional positions:
1 Ge 0.2003 0.7997 0.5000
2 Ge 0.7997 0.2003 0.0000
3 Bi 0.1588 0.4937 0.1180
4 Bi 0.4937 0.1588 0.6180
5 Bi 0.5063 0.8412 0.1180
6 Bi 0.8412 0.5063 0.6180
7 Pd 0.0761 0.1678 0.2998
8 Pd 0.1678 0.0761 0.7998
9 Pd 0.4426 0.5574 0.8188
10 Pd 0.5574 0.4426 0.3188
11 Pd 0.8322 0.9239 0.2998
12 Pd 0.9239 0.8322 0.7998

Most intense lines, 5° ≤ 2θ ≤ 70°, low angle first:
2θ = 29.7°, intensity 100; 2θ = 29.9°, intensity 48; 2θ = 33.7°, intensity 27; 2θ = 39.9°, intensity 50; 2θ = 40.1°, intensity 28; 2θ = 45.3°, intensity 34

# 3
Diffraction record for ThGe2Bi2Pd7. The powder X-ray diffraction pattern is theoretical, not measured: it uses a DFT-relaxed cell (GGA-PBE, Alexandria) and Cu Kα (weighted mean of Kα1 and Kα2).

Atomic structure:
Unit cell a=4.1217 b=4.1217 c=14.2613 alpha=95.24 beta=95.24 gamma=89.51
Fractional positions:
1 Th 0.0000 0.0000 0.0000
2 Ge 0.4174 0.4174 0.7408
3 Ge 0.5826 0.5826 0.2592
4 Bi 0.1216 0.1216 0.3796
5 Bi 0.8784 0.8784 0.6204
6 Pd 0.0491 0.5484 0.1529
7 Pd 0.3426 0.3426 0.5663
8 Pd 0.4516 0.9509 0.8471
9 Pd 0.5000 0.5000 0.0000
10 Pd 0.5484 0.0491 0.1529
11 Pd 0.6574 0.6574 0.4337
12 Pd 0.9509 0.4516 0.8471

Most intense lines, 5° ≤ 2θ ≤ 70°, low angle first:
2θ = 31.6°, intensity 43; 2θ = 34.1°, intensity 65; 2θ = 34.9°, intensity 94; 2θ = 36.4°, intensity 97; 2θ = 40.3°, intensity 42; 2θ = 44.0°, intensity 100

# 4
Diffraction record for Pm6Ge2Bi. The powder X-ray diffraction pattern is theoretical, not measured: it uses a DFT-relaxed cell (GGA-PBE, Alexandria) and Cu Kα (weighted mean of Kα1 and Kα2).

Atomic structure:
Unit cell a=8.8318 b=8.8318 c=8.8318 alpha=113.08 beta=111.19 gamma=104.27
Fractional positions:
1 Pm 0.0347 0.2436 0.7911
2 Pm 0.1892 0.2784 0.4676
3 Pm 0.1892 0.7216 0.9108
4 Pm 0.3213 0.0260 0.7047
5 Pm 0.3213 0.6166 0.2953
6 Pm 0.4526 0.2436 0.2089
7 Pm 0.5474 0.7564 0.7911
8 Pm 0.6787 0.3834 0.7047
9 Pm 0.6787 0.9740 0.2953
10 Pm 0.8108 0.2784 0.0892
11 Pm 0.8108 0.7216 0.5324
12 Pm 0.9653 0.7564 0.2089
13 Ge 0.1182 0.6182 0.5000
14 Ge 0.3678 0.0000 0.3678
15 Ge 0.6322 0.0000 0.6322
16 Ge 0.8818 0.3818 0.5000
17 Bi 0.0000 0.0000 0.0000
18 Bi 0.5000 0.5000 0.0000

Most intense lines, 5° ≤ 2θ ≤ 70°, low angle first:
2θ = 30.5°, intensity 100; 2θ = 32.1°, intensity 27; 2θ = 32.9°, intensity 39; 2θ = 33.7°, intensity 25; 2θ = 36.9°, intensity 23; 2θ = 57.4°, intensity 23

# 5
Diffraction record for Pm3GeBi3. The powder X-ray diffraction pattern is theoretical, not measured: it uses a DFT-relaxed cell (GGA-PBE, Alexandria) and Cu Kα (weighted mean of Kα1 and Kα2).

Atomic structure:
Unit cell a=7.5448 b=7.5448 c=8.6547 alpha=91.43 beta=91.43 gamma=107.68
Fractional positions:
1 Pm 0.0777 0.0777 0.2592
2 Pm 0.1329 0.4686 0.7168
3 Pm 0.4686 0.1329 0.7168
4 Pm 0.5314 0.8671 0.2832
5 Pm 0.8671 0.5314 0.2832
6 Pm 0.9223 0.9223 0.7408
7 Ge 0.2179 0.2179 0.9582
8 Ge 0.7821 0.7821 0.0418
9 Bi 0.1846 0.8154 0.5000
10 Bi 0.2007 0.7993 0.0000
11 Bi 0.4213 0.4213 0.3318
12 Bi 0.5787 0.5787 0.6682
13 Bi 0.7993 0.2007 0.0000
14 Bi 0.8154 0.1846 0.5000

Most intense lines, 5° ≤ 2θ ≤ 70°, low angle first:
2θ = 25.3°, intensity 41; 2θ = 26.1°, intensity 80; 2θ = 31.6°, intensity 93; 2θ = 33.0°, intensity 100; 2θ = 33.2°, intensity 48; 2θ = 37.6°, intensity 49

# 6
Diffraction record for Pm5GeBi5. The powder X-ray diffraction pattern is theoretical, not measured: it uses a DFT-relaxed cell (GGA-PBE, Alexandria) and Cu Kα (weighted mean of Kα1 and Kα2).

Atomic structure:
Unit cell a=7.5488 b=7.5488 c=10.1447 alpha=117.18 beta=117.18 gamma=49.51
Fractional positions:
1 Pm 0.0000 0.0000 0.0000
2 Pm 0.2992 0.2992 0.6916
3 Pm 0.3487 0.3487 0.1314
4 Pm 0.6513 0.6513 0.8686
5 Pm 0.7008 0.7008 0.3084
6 Ge 0.5000 0.5000 0.0000
7 Bi 0.1111 0.1111 0.7889
8 Bi 0.2213 0.2213 0.3370
9 Bi 0.5000 0.5000 0.5000
10 Bi 0.7787 0.7787 0.6630
11 Bi 0.8889 0.8889 0.2111

Most intense lines, 5° ≤ 2θ ≤ 70°, low angle first:
2θ = 26.5°, intensity 73; 2θ = 28.2°, intensity 100; 2θ = 30.3°, intensity 34; 2θ = 30.9°, intensity 56; 2θ = 35.8°, intensity 33; 2θ = 42.3°, intensity 42

# 7
Diffraction record for Pm6GeBi3. The powder X-ray diffraction pattern is theoretical, not measured: it uses a DFT-relaxed cell (GGA-PBE, Alexandria) and Cu Kα (weighted mean of Kα1 and Kα2).

Atomic structure:
Unit cell a=8.7138 b=8.7138 c=8.7138 alpha=86.08 beta=86.08 gamma=86.08
Fractional positions:
1 Pm 0.1159 0.8004 0.7581
2 Pm 0.1771 0.5279 0.4504
3 Pm 0.1996 0.2419 0.8841
4 Pm 0.2419 0.8841 0.1996
5 Pm 0.4504 0.1771 0.5279
6 Pm 0.4721 0.5496 0.8229
7 Pm 0.5279 0.4504 0.1771
8 Pm 0.5496 0.8229 0.4721
9 Pm 0.7581 0.1159 0.8004
10 Pm 0.8004 0.7581 0.1159
11 Pm 0.8229 0.4721 0.5496
12 Pm 0.8841 0.1996 0.2419
13 Ge 0.0000 0.0000 0.0000
14 Ge 0.5000 0.5000 0.5000
15 Bi 0.0830 0.1708 0.5481
16 Bi 0.1708 0.5481 0.0830
17 Bi 0.4519 0.9170 0.8292
18 Bi 0.5481 0.0830 0.1708
19 Bi 0.8292 0.4519 0.9170
20 Bi 0.9170 0.8292 0.4519

Most intense lines, 5° ≤ 2θ ≤ 70°, low angle first:
2θ = 25.9°, intensity 21; 2θ = 30.9°, intensity 100; 2θ = 31.8°, intensity 20; 2θ = 32.8°, intensity 26; 2θ = 33.3°, intensity 30; 2θ = 38.7°, intensity 20

# 8
Diffraction record for PmGe2BiRh5. The powder X-ray diffraction pattern is theoretical, not measured: it uses a DFT-relaxed cell (GGA-PBE, Alexandria) and Cu Kα (weighted mean of Kα1 and Kα2).

Atomic structure:
Unit cell a=4.1004 b=4.1004 c=10.9109 alpha=90.00 beta=90.00 gamma=90.00
Fractional positions:
1 Pm 0.0000 0.0000 0.0000
2 Ge 0.5000 0.5000 0.2181
3 Ge 0.5000 0.5000 0.7819
4 Bi 0.0000 0.0000 0.5000
5 Rh 0.0000 0.5000 0.3354
6 Rh 0.0000 0.5000 0.6646
7 Rh 0.5000 0.0000 0.3354
8 Rh 0.5000 0.0000 0.6646
9 Rh 0.5000 0.5000 0.0000

Most intense lines, 5° ≤ 2θ ≤ 70°, low angle first:
2θ = 8.1°, intensity 45; 2θ = 27.2°, intensity 96; 2θ = 35.0°, intensity 91; 2θ = 39.8°, intensity 55; 2θ = 44.2°, intensity 93; 2θ = 45.7°, intensity 100

# 9
Diffraction record for PrGeBi. The powder X-ray diffraction pattern is theoretical, not measured: it uses a DFT-relaxed cell (GGA-PBE, Alexandria) and Cu Kα (weighted mean of Kα1 and Kα2).

Atomic structure:
Unit cell a=8.9686 b=8.9686 c=4.2258 alpha=90.00 beta=90.00 gamma=150.42
Fractional positions:
1 Pr 0.0956 0.9044 0.7500
2 Pr 0.9044 0.0956 0.2500
3 Ge 0.4527 0.5473 0.7500
4 Ge 0.5473 0.4527 0.2500
5 Bi 0.2525 0.7475 0.2500
6 Bi 0.7475 0.2525 0.7500

Most intense lines, 5° ≤ 2θ ≤ 70°, low angle first:
2θ = 10.2°, intensity 17; 2θ = 30.9°, intensity 22; 2θ = 32.7°, intensity 100; 2θ = 39.3°, intensity 17; 2θ = 42.8°, intensity 13; 2θ = 67.2°, intensity 13

# 10
Diffraction record for Pr2Ge3BiRh4. The powder X-ray diffraction pattern is theoretical, not measured: it uses a DFT-relaxed cell (GGA-PBE, Alexandria) and Cu Kα (weighted mean of Kα1 and Kα2).

Atomic structure:
Unit cell a=4.3140 b=4.3140 c=10.6761 alpha=90.00 beta=90.00 gamma=90.00
Fractional positions:
1 Pr 0.0000 0.5000 0.2401
2 Pr 0.5000 0.0000 0.7599
3 Ge 0.0000 0.5000 0.8784
4 Ge 0.5000 0.0000 0.1216
5 Ge 0.5000 0.5000 0.5000
6 Bi 0.0000 0.0000 0.5000
7 Rh 0.0000 0.0000 0.0000
8 Rh 0.0000 0.5000 0.6500
9 Rh 0.5000 0.0000 0.3500
10 Rh 0.5000 0.5000 0.0000

Most intense lines, 5° ≤ 2θ ≤ 70°, low angle first:
2θ = 32.6°, intensity 36; 2θ = 33.8°, intensity 100; 2θ = 41.9°, intensity 52; 2θ = 45.1°, intensity 19; 2θ = 47.5°, intensity 19; 2θ = 60.7°, intensity 18

# 11
Diffraction record for RbGeBiPt2. The powder X-ray diffraction pattern is theoretical, not measured: it uses a DFT-relaxed cell (GGA-PBE, Alexandria) and Cu Kα (weighted mean of Kα1 and Kα2).

Atomic structure:
Unit cell a=7.4283 b=4.3376 c=9.6054 alpha=90.00 beta=103.57 gamma=90.00
Fractional positions:
1 Rb 0.0553 0.2500 0.2673
2 Rb 0.9447 0.7500 0.7327
3 Ge 0.2917 0.7500 0.5410
4 Ge 0.7083 0.2500 0.4590
5 Bi 0.3632 0.7500 0.0646
6 Bi 0.6368 0.2500 0.9354
7 Pt 0.4683 0.7500 0.7937
8 Pt 0.4703 0.2500 0.5991
9 Pt 0.5297 0.7500 0.4009
10 Pt 0.5317 0.2500 0.2063

Most intense lines, 5° ≤ 2θ ≤ 70°, low angle first:
2θ = 12.3°, intensity 100; 2θ = 24.7°, intensity 17; 2θ = 27.5°, intensity 16; 2θ = 35.3°, intensity 17; 2θ = 35.5°, intensity 23; 2θ = 41.6°, intensity 15

# 12
Diffraction record for Ge2BiS4. The powder X-ray diffraction pattern is theoretical, not measured: it uses a DFT-relaxed cell (GGA-PBE, Alexandria) and Cu Kα (weighted mean of Kα1 and Kα2).

Atomic structure:
Unit cell a=6.2425 b=6.2425 c=6.2425 alpha=104.72 beta=104.72 gamma=119.45
Fractional positions:
1 Ge 0.2500 0.7500 0.5000
2 Ge 0.7500 0.2500 0.5000
3 Bi 0.0000 0.0000 0.0000
4 S 0.1650 0.3328 0.4978
5 S 0.3328 0.8350 0.1678
6 S 0.6672 0.1650 0.8322
7 S 0.8350 0.6672 0.5022

Most intense lines, 5° ≤ 2θ ≤ 70°, low angle first:
2θ = 18.3°, intensity 100; 2θ = 23.3°, intensity 55; 2θ = 29.8°, intensity 77; 2θ = 33.0°, intensity 59; 2θ = 33.2°, intensity 42; 2θ = 47.5°, intensity 72

# 13
Diffraction record for Sc3GeBi. The powder X-ray diffraction pattern is theoretical, not measured: it uses a DFT-relaxed cell (GGA-PBE, Alexandria) and Cu Kα (weighted mean of Kα1 and Kα2).

Atomic structure:
Unit cell a=7.7309 b=7.7309 c=7.7309 alpha=50.14 beta=50.14 gamma=50.14
Fractional positions:
1 Sc 0.0960 0.5940 0.5940
2 Sc 0.4060 0.4060 0.9040
3 Sc 0.4060 0.9040 0.4060
4 Sc 0.5940 0.0960 0.5940
5 Sc 0.5940 0.5940 0.0960
6 Sc 0.9040 0.4060 0.4060
7 Ge 0.3322 0.3322 0.3322
8 Ge 0.6678 0.6678 0.6678
9 Bi 0.1106 0.1106 0.1106
10 Bi 0.8894 0.8894 0.8894

Most intense lines, 5° ≤ 2θ ≤ 70°, low angle first:
2θ = 23.6°, intensity 97; 2θ = 27.1°, intensity 65; 2θ = 27.2°, intensity 100; 2θ = 31.9°, intensity 66; 2θ = 36.3°, intensity 91; 2θ = 38.8°, intensity 96